No. 1
ZnHg2Pt: computed X-ray diffraction stick pattern (Cu Kα X-rays), based on a cell relaxed with GGA-PBE.

Structural model:
```
8
Lattice="5.821 0.000 0.000 0.000 8.068 0.000 0.000 0.000 3.160" Properties=species:S:1:pos:R:3 pbc="T T T"
Zn 0.000 0.000 0.000
Zn 2.910 4.034 0.000
Hg 1.455 2.017 1.580
Hg 1.455 6.051 1.580
Hg 4.365 2.017 1.580
Hg 4.365 6.051 1.580
Pt 0.000 4.034 0.000
Pt 2.910 0.000 0.000
```

Principal peaks in the range 10° ≤ 2θ ≤ 90°, sorted by position:
- 18.8°, I 16
- 36.1°, I 100
- 38.1°, I 86
- 42.2°, I 65
- 44.9°, I 27
- 58.4°, I 13
- 63.4°, I 39
- 71.9°, I 27
- 75.7°, I 24
- 76.6°, I 12

=====

No. 2
ZnHgPt3: computed X-ray diffraction stick pattern (Cu Kα X-rays), based on a cell relaxed with GGA-PBE.

Structural model:
```
5
Lattice="4.643 0.000 0.000 0.000 4.643 0.000 0.000 0.000 4.643" Properties=species:S:1:pos:R:3 pbc="T T T"
Zn 0.000 0.000 0.000
Hg 2.322 2.322 2.322
Pt 0.000 0.000 2.322
Pt 0.000 2.322 0.000
Pt 2.322 0.000 0.000
```

Principal peaks in the range 10° ≤ 2θ ≤ 90°, sorted by position:
- 19.1°, I 3
- 27.2°, I 3
- 33.4°, I 100
- 38.8°, I 73
- 43.6°, I 1
- 48.0°, I 1
- 56.0°, I 51
- 66.8°, I 42
- 70.2°, I 17
- 83.2°, I 8

=====

No. 3
Pu2Hg13: computed X-ray diffraction stick pattern (Cu Kα X-rays), based on a cell relaxed with GGA-PBE.

Structural model:
```
15
Lattice="4.156 2.399 6.945 -4.156 2.399 6.945 0.000 -4.799 6.945" Properties=species:S:1:pos:R:3 pbc="T T T"
Pu 0.000 0.000 3.087
Pu 0.000 0.000 17.747
Hg 0.000 0.000 0.000
Hg 0.000 -1.856 5.690
Hg -1.607 0.928 5.690
Hg 0.000 -1.744 8.971
Hg -1.510 0.872 8.971
Hg -1.510 -0.872 11.863
Hg -1.607 -0.928 15.144
Hg 1.607 0.928 5.690
Hg 1.510 0.872 8.971
Hg 1.510 -0.872 11.863
Hg 0.000 1.744 11.863
Hg 1.607 -0.928 15.144
Hg 0.000 1.856 15.144
```

Principal peaks in the range 10° ≤ 2θ ≤ 90°, sorted by position:
- 25.7°, I 17
- 32.6°, I 47
- 32.9°, I 40
- 33.2°, I 100
- 33.6°, I 21
- 34.1°, I 17
- 42.9°, I 21
- 43.6°, I 18
- 46.0°, I 48
- 64.5°, I 30

=====

No. 4
Pu3Hg5: computed X-ray diffraction stick pattern (Cu Kα X-rays), based on a cell relaxed with GGA-PBE.

Structural model:
```
16
Lattice="7.075 0.000 0.000 0.000 10.991 0.000 0.000 0.000 5.394" Properties=species:S:1:pos:R:3 pbc="T T T"
Pu 0.000 0.000 0.000
Pu 0.000 2.964 2.697
Pu 0.000 8.027 2.697
Pu 3.537 2.532 2.697
Pu 3.537 5.496 0.000
Pu 3.537 8.460 2.697
Hg 0.000 5.496 0.000
Hg 1.611 0.000 2.697
Hg 1.769 2.748 0.000
Hg 1.769 8.243 0.000
Hg 1.926 5.496 2.697
Hg 3.537 0.000 0.000
Hg 5.148 5.496 2.697
Hg 5.306 2.748 0.000
Hg 5.306 8.243 0.000
Hg 5.464 0.000 2.697
```

Principal peaks in the range 10° ≤ 2θ ≤ 90°, sorted by position:
- 32.6°, I 28
- 33.2°, I 28
- 34.4°, I 100
- 47.2°, I 20
- 59.3°, I 19
- 60.1°, I 22
- 62.4°, I 8
- 62.8°, I 9
- 72.6°, I 11
- 79.4°, I 8